# Ca2MnGaO5
Theoretical X-ray diffraction stick pattern, a wavelength of 1.5418 Å. Input: DFT lattice parameters and positions (PBE+U).
Intensities are scaled so that the largest is 100.

Structural model:
a = 5.4116 Å, b = 15.0913 Å, c = 5.6200 Å
α = 90.00°, β = 90.00°, γ = 90.00°
Space group Pnma (No. 62)
Unique sites:
Ca1 0.0251 0.1112 0.0245 (multiplicity 8)
Mn1 0.0000 0.0000 0.5000 (multiplicity 4)
Ga1 0.0434 0.2500 0.5644 (multiplicity 4)
O1 0.0396 0.6445 0.5778 (multiplicity 8)
O2 0.1069 0.7500 0.1262 (multiplicity 4)
O3 0.2274 0.5169 0.2195 (multiplicity 8)

Peak list (10 most intense, 10 to 90 degrees two-theta, by angle)
2θ/deg, I/Imax
22.81, 12
23.58, 8
31.85, 23
33.06, 100
33.70, 9
46.60, 23
48.24, 16
57.51, 12
59.10, 12
69.32, 10